This entry pairs a crystal structure of AcBe2Au10 with its theoretical powder diffractogram. Radiation: a wavelength of 1.5418 Å. Structure: DFT lattice parameters and positions (PBE).

Crystal structure
```
data_AcBe2Au10
_space_group_name_H-M_alt 'F m m m'
_space_group_IT_number 69
_space_group_name_Hall '-F 2 2'
_cell_length_a 5.4569
_cell_length_b 12.2543
_cell_length_c 14.6106
_cell_angle_alpha 90.00
_cell_angle_beta 90.00
_cell_angle_gamma 90.00
loop_
_atom_site_label
_atom_site_fract_x
_atom_site_fract_y
_atom_site_fract_z
Ac1 0.0000 0.0000 0.0000
Be1 0.2500 0.0000 0.2500
Au1 0.0000 0.1128 0.3718
Au2 0.0000 0.1519 0.1789
Au3 0.2500 0.2500 0.0000
```

Most intense lines, 10 to 90 degrees two-theta, by angle:
2θ (°)	I/Imax	hkl
31.67	75	0 4 2
32.82	64	2 0 0
32.99	55	1 3 3
35.61	98	1 1 5
36.91	48	0 0 6
38.15	55	2 2 2
38.35	100	0 4 4
40.83	41	1 5 1
41.30	47	2 0 4
44.46	70	2 4 0



This entry pairs a crystal structure of Mn2InAu with its theoretical powder diffractogram. Radiation: a wavelength of 1.5418 Å. Structure: DFT lattice parameters and positions (PBE).

Crystal structure
```
data_Mn2InAu
_space_group_name_H-M_alt 'P 4/m m m'
_space_group_IT_number 123
_space_group_name_Hall '-P 4 2'
_cell_length_a 3.0817
_cell_length_b 3.0817
_cell_length_c 7.3699
_cell_angle_alpha 90.00
_cell_angle_beta 90.00
_cell_angle_gamma 90.00
loop_
_atom_site_label
_atom_site_fract_x
_atom_site_fract_y
_atom_site_fract_z
Mn1 0.0000 0.0000 0.2348
In1 0.5000 0.5000 0.5000
Au1 0.5000 0.5000 0.0000
```

Most intense lines, 10 to 90 degrees two-theta, by angle:
2θ (°)	I/Imax	hkl
12.01	16	0 0 1
24.15	18	0 0 2
28.97	23	1 0 0
38.07	100	1 0 2
41.44	40	1 1 0
48.54	12	1 1 2
49.47	11	0 0 4
60.04	13	2 0 0
66.45	18	1 1 4
73.34	28	2 1 2



This entry pairs a crystal structure of YGe with its theoretical powder diffractogram. Radiation: a wavelength of 1.5418 Å. Structure: DFT lattice parameters and positions (PBE).

Crystal structure
```
data_YGe
_space_group_name_H-M_alt 'C m c m'
_space_group_IT_number 63
_space_group_name_Hall '-C 2c 2'
_cell_length_a 4.3122
_cell_length_b 13.1728
_cell_length_c 6.4974
_cell_angle_alpha 90.00
_cell_angle_beta 90.00
_cell_angle_gamma 90.00
loop_
_atom_site_label
_atom_site_fract_x
_atom_site_fract_y
_atom_site_fract_z
Y1 0.0000 0.0466 0.2500
Y2 0.0000 0.2238 0.7500
Ge1 0.0000 0.3973 0.0470
```

Most intense lines, 10 to 90 degrees two-theta, by angle:
2θ (°)	I/Imax	hkl
30.43	21	0 4 1
32.19	100	1 3 1
35.25	87	1 1 2
38.94	37	0 4 2
40.11	38	1 5 0
41.90	36	2 0 0
47.48	16	1 1 3
50.43	15	0 4 3
58.53	22	2 4 2
80.18	16	1 3 5



This entry pairs a crystal structure of Ca3Al2Zn3 with its theoretical powder diffractogram. Radiation: a wavelength of 1.5418 Å. Structure: DFT lattice parameters and positions (PBE).

Crystal structure
```
data_Ca3Al2Zn3
_space_group_name_H-M_alt 'P n m a'
_space_group_IT_number 62
_space_group_name_Hall '-P 2ac 2n'
_cell_length_a 8.4552
_cell_length_b 14.9394
_cell_length_c 5.9938
_cell_angle_alpha 90.00
_cell_angle_beta 90.00
_cell_angle_gamma 90.00
loop_
_atom_site_label
_atom_site_fract_x
_atom_site_fract_y
_atom_site_fract_z
Ca1 0.0516 0.1085 0.1213
Ca2 0.1973 0.2500 0.6143
Al1 0.0906 0.5962 0.3880
Zn1 0.1503 0.7500 0.6074
Zn2 0.1965 0.0390 0.6275
```

Most intense lines, 10 to 90 degrees two-theta, by angle:
2θ (°)	I/Imax	hkl
30.11	34	1 4 1
31.68	100	1 0 2
31.97	72	2 4 0
35.19	76	3 0 1
35.39	64	2 4 1
35.71	29	3 1 1
36.57	77	1 3 2
40.02	56	1 4 2
45.50	37	4 0 1
46.42	28	1 7 1



This entry pairs a crystal structure of SrMnCl5 with its theoretical powder diffractogram. Radiation: a wavelength of 1.5418 Å. Structure: DFT lattice parameters and positions (PBE).

Crystal structure
```
data_SrMnCl5
_space_group_name_H-M_alt 'C 1 2/c 1'
_space_group_IT_number 15
_space_group_name_Hall '-C 2yc'
_cell_length_a 8.9923
_cell_length_b 9.9548
_cell_length_c 9.5193
_cell_angle_alpha 90.00
_cell_angle_beta 109.23
_cell_angle_gamma 90.00
loop_
_atom_site_label
_atom_site_fract_x
_atom_site_fract_y
_atom_site_fract_z
Sr1 0.0000 0.0626 0.2500
Mn1 0.2500 0.2500 0.0000
Cl1 0.0000 0.2253 0.7500
Cl2 0.0862 0.3132 0.1231
Cl3 0.2145 0.0239 0.0529
```

Most intense lines, 10 to 90 degrees two-theta, by angle:
2θ (°)	I/Imax	hkl
13.71	71	1 1 0
14.75	31	1 1 -1
18.82	100	1 1 1
23.62	36	2 0 -2
26.86	32	1 1 2
29.41	35	1 3 -1
32.61	48	3 1 -2
33.47	64	2 0 2
37.50	29	0 4 1
39.00	27	1 1 -4



This entry pairs a crystal structure of BaCa with its theoretical powder diffractogram. Radiation: a wavelength of 1.5418 Å. Structure: DFT lattice parameters and positions (PBE).

Crystal structure
```
data_BaCa
_space_group_name_H-M_alt 'P 1 21/m 1'
_space_group_IT_number 11
_space_group_name_Hall '-P 2yb'
_cell_length_a 4.1581
_cell_length_b 6.7841
_cell_length_c 7.2470
_cell_angle_alpha 90.00
_cell_angle_beta 90.16
_cell_angle_gamma 90.00
loop_
_atom_site_label
_atom_site_fract_x
_atom_site_fract_y
_atom_site_fract_z
Ba1 0.2479 0.2500 0.4069
Ca1 0.2524 0.7500 0.0841
```

Most intense lines, 10 to 90 degrees two-theta, by angle:
2θ (°)	I/Imax	hkl
12.21	36	0 0 1
17.91	16	0 1 1
24.62	20	1 0 -1
25.12	22	1 1 0
26.27	38	0 2 0
27.95	100	0 1 2
28.05	45	1 1 1
36.31	14	1 2 -1
47.43	35	0 3 2
51.37	22	1 2 -3



This entry pairs a crystal structure of Dy2Cd2Pd7 with its theoretical powder diffractogram. Radiation: a wavelength of 1.5418 Å. Structure: DFT lattice parameters and positions (PBE).

Crystal structure
```
data_Dy2Cd2Pd7
_space_group_name_H-M_alt 'C m m m'
_space_group_IT_number 65
_space_group_name_Hall '-C 2 2'
_cell_length_a 8.8562
_cell_length_b 9.6663
_cell_length_c 5.6238
_cell_angle_alpha 90.00
_cell_angle_beta 90.00
_cell_angle_gamma 90.00
loop_
_atom_site_label
_atom_site_fract_x
_atom_site_fract_y
_atom_site_fract_z
Dy1 0.2106 0.0000 0.0000
Cd1 0.0000 0.2700 0.5000
Pd1 0.0000 0.0000 0.5000
Pd2 0.0000 0.5000 0.2368
Pd3 0.2500 0.2500 0.2436
```

Most intense lines, 10 to 90 degrees two-theta, by angle:
2θ (°)	I/Imax	hkl
24.28	38	0 2 1
25.60	69	2 0 1
34.74	22	1 1 2
37.21	55	0 4 0
40.75	35	4 0 0
42.42	100	2 2 2
43.94	20	1 3 2
45.71	26	2 4 1
56.36	25	4 4 0
70.67	19	2 6 2